For Si3Rh5, a DFT-relaxed cell (PBE, Alexandria) gives the calculated powder diffractogram in this record (Cu Kα X-rays).
Neutral-atom scattering factors, no anomalous dispersion.

Most intense lines, 2θ from 10° to 90°, sorted by position:
two_theta  d_spacing  Rel. int.
29.6  3.022  24
30.9  2.897  22
33.3  2.694  85
38.7  2.325  54
41.6  2.169  100
42.0  2.149  100
42.6  2.121  41
44.5  2.038  42
46.6  1.951  57
56.2  1.636  21
64.9  1.436  23
74.1  1.280  35

```
Si3Rh5
1.0
5.3942 0.0000 0.0000
0.0000 10.3010 0.0000
0.0000 0.0000 3.9017
Si Rh
6 10
direct
0.0000 0.0000 0.0000
0.0951 0.3453 0.5000
0.4049 0.8453 0.5000
0.5000 0.5000 0.0000
0.5951 0.1547 0.5000
0.9049 0.6547 0.5000
0.0000 0.5000 0.0000
0.1604 0.7873 0.0000
0.1668 0.1074 0.5000
0.3332 0.6074 0.5000
0.3396 0.2873 0.0000
0.5000 0.0000 0.0000
0.6604 0.7127 0.0000
0.6668 0.3926 0.5000
0.8332 0.8926 0.5000
0.8396 0.2127 0.0000
```



For PmPr4Te7, a DFT-relaxed cell (PBE, Alexandria) gives the calculated powder diffractogram in this record (Cu Kα X-rays).
Neutral-atom scattering factors, no anomalous dispersion.

Most intense lines, 2θ from 10° to 90°, sorted by position:
two_theta  d_spacing  Rel. int.
20.5  4.333  45
26.4  3.378  61
26.9  3.314  47
27.3  3.272  89
27.6  3.235  49
28.6  3.118  100
29.5  3.024  74
31.5  2.841  48
33.4  2.682  43
36.0  2.498  52
40.7  2.215  46
41.1  2.195  66

```
PmPr4Te7
1.0
7.4117 -2.1951 0.0000
7.4117 2.1951 0.0000
-3.3920 0.0000 13.1241
Pm Pr Te
1 4 7
direct
0.0000 0.0000 0.0000
0.1152 0.1152 0.4226
0.2298 0.2298 0.8485
0.4153 0.4153 0.6136
0.8155 0.8155 0.2341
0.0774 0.0774 0.6402
0.1526 0.1526 0.2048
0.3762 0.3762 0.0748
0.4534 0.4534 0.3753
0.6130 0.6130 0.9245
0.7769 0.7769 0.4722
0.8577 0.8577 0.7745
```



For HgAs, a DFT-relaxed cell (PBE, Alexandria) gives the calculated powder diffractogram in this record (Cu Kα X-rays).
Neutral-atom scattering factors, no anomalous dispersion.

Most intense lines, 2θ from 10° to 90°, sorted by position:
two_theta  d_spacing  Rel. int.
16.3  5.444  28
18.0  4.935  100
23.1  3.850  30
24.3  3.657  69
32.3  2.768  35
32.9  2.722  63
33.8  2.651  36
37.7  2.384  29
44.7  2.027  27
46.8  1.941  47
47.2  1.925  21
58.4  1.580  23

```
HgAs
1.0
-5.4443 5.4443 2.7684
5.4443 -5.4443 2.7684
5.4443 5.4443 -2.7684
Hg As
4 4
direct
0.0000 0.2362 0.2362
0.0000 0.7638 0.7638
0.2362 0.0000 0.2362
0.7638 0.0000 0.7638
0.2363 0.2363 0.4727
0.2363 0.7637 0.0000
0.7637 0.2363 0.0000
0.7637 0.7637 0.5273
```



For NaAcHg4, a DFT-relaxed cell (PBE, Alexandria) gives the calculated powder diffractogram in this record (Cu Kα X-rays).
Neutral-atom scattering factors, no anomalous dispersion.

Most intense lines, 2θ from 10° to 90°, sorted by position:
two_theta  d_spacing  Rel. int.
24.3  3.666  36
31.6  2.836  100
31.7  2.826  50
34.6  2.590  52
34.9  2.569  100
42.7  2.115  17
43.0  2.104  32
47.6  1.909  33
49.7  1.833  19
62.0  1.496  20
62.2  1.492  58
83.6  1.157  17

```
NaAcHg4
1.0
3.6664 0.0000 0.0000
0.0000 5.1799 0.0000
0.0000 0.0000 8.8736
Na Ac Hg
1 1 4
direct
0.0000 0.0000 0.0000
0.0000 0.5000 0.5000
0.5000 0.0000 0.3261
0.5000 0.0000 0.6739
0.5000 0.5000 0.1604
0.5000 0.5000 0.8396
```



For Na4Ac3LaTe8, a DFT-relaxed cell (PBE, Alexandria) gives the calculated powder diffractogram in this record (Cu Kα X-rays).
Neutral-atom scattering factors, no anomalous dispersion.

Most intense lines, 2θ from 10° to 90°, sorted by position:
two_theta  d_spacing  Rel. int.
11.7  7.538  31
22.0  4.048  21
26.8  3.326  100
29.3  3.043  10
37.9  2.375  40
38.6  2.330  38
39.8  2.265  10
47.0  1.933  22
55.2  1.663  13
61.9  1.499  19
63.0  1.476  18
68.9  1.362  14

```
Na4Ac3LaTe8
1.0
4.7504 2.7426 7.5378
-4.7504 2.7426 7.5378
0.0000 -5.4853 7.5378
Na Ac La Te
4 3 1 8
direct
0.0000 0.0000 0.0000
0.0000 0.5000 0.5000
0.5000 0.0000 0.5000
0.5000 0.5000 0.0000
0.0000 0.0000 0.5000
0.0000 0.5000 0.0000
0.5000 0.0000 0.0000
0.5000 0.5000 0.5000
0.2502 0.2502 0.2502
0.2548 0.2548 0.7447
0.2548 0.7447 0.2548
0.2553 0.7452 0.7452
0.7447 0.2548 0.2548
0.7452 0.2553 0.7452
0.7452 0.7452 0.2553
0.7498 0.7498 0.7498
```



Repeat the fourth record exactly.
For NaAcHg4, a DFT-relaxed cell (PBE, Alexandria) gives the calculated powder diffractogram in this record (Cu Kα X-rays).
Neutral-atom scattering factors, no anomalous dispersion.

Most intense lines, 2θ from 10° to 90°, sorted by position:
two_theta  d_spacing  Rel. int.
24.3  3.666  36
31.6  2.836  100
31.7  2.826  50
34.6  2.590  52
34.9  2.569  100
42.7  2.115  17
43.0  2.104  32
47.6  1.909  33
49.7  1.833  19
62.0  1.496  20
62.2  1.492  58
83.6  1.157  17

```
NaAcHg4
1.0
3.6664 0.0000 0.0000
0.0000 5.1799 0.0000
0.0000 0.0000 8.8736
Na Ac Hg
1 1 4
direct
0.0000 0.0000 0.0000
0.0000 0.5000 0.5000
0.5000 0.0000 0.3261
0.5000 0.0000 0.6739
0.5000 0.5000 0.1604
0.5000 0.5000 0.8396
```



Copy entry 4 word for word.
For NaAcHg4, a DFT-relaxed cell (PBE, Alexandria) gives the calculated powder diffractogram in this record (Cu Kα X-rays).
Neutral-atom scattering factors, no anomalous dispersion.

Most intense lines, 2θ from 10° to 90°, sorted by position:
two_theta  d_spacing  Rel. int.
24.3  3.666  36
31.6  2.836  100
31.7  2.826  50
34.6  2.590  52
34.9  2.569  100
42.7  2.115  17
43.0  2.104  32
47.6  1.909  33
49.7  1.833  19
62.0  1.496  20
62.2  1.492  58
83.6  1.157  17

```
NaAcHg4
1.0
3.6664 0.0000 0.0000
0.0000 5.1799 0.0000
0.0000 0.0000 8.8736
Na Ac Hg
1 1 4
direct
0.0000 0.0000 0.0000
0.0000 0.5000 0.5000
0.5000 0.0000 0.3261
0.5000 0.0000 0.6739
0.5000 0.5000 0.1604
0.5000 0.5000 0.8396
```